[1]
For Sc2AlCd2In, a PBE-relaxed structure gives the simulated powder XRD pattern in this record (Cu Kα).
Peak positions follow from Bragg's law for the DFT cell and can differ from measured ones.

Crystal structure
abc: 11.388 4.650 11.389
angles: 90.00 109.46 90.00
Space group Pm (No. 6)
Unique sites:
Sc 0.000 0.000 0.000
Sc 0.118 0.500 0.368
Sc 0.248 0.000 0.744
Sc 0.378 0.500 0.125
Sc 0.505 0.000 0.505
Sc 0.626 0.500 0.876
Sc 0.746 0.000 0.251
Sc 0.875 0.500 0.631
Al 0.502 0.000 0.001
Al 0.751 0.000 0.753
Al 0.873 0.500 0.125
Al 0.998 0.000 0.497
Cd 0.117 0.500 0.615
Cd 0.257 0.000 0.998
Cd 0.374 0.500 0.376
Cd 0.505 0.000 0.757
Cd 0.626 0.500 0.121
Cd 0.758 0.000 0.508
Cd 0.871 0.500 0.878
Cd 0.990 0.000 0.247
In 0.125 0.500 0.873
In 0.247 0.000 0.248
In 0.374 0.500 0.626
In 0.627 0.500 0.377

Principal peaks in the range 5° ≤ 2θ ≤ 70°, low angle first:
d/Å	Position (°2θ)	I (rel.)	index
10.737	8.23	41	1 0 0
4.649	19.09	19	0 1 0
4.267	20.82	20	0 1 1
3.796	23.43	654	1 1 1
3.579	24.88	24	2 0 -3
2.836	31.55	21	3 1 0
2.325	38.73	1000	0 2 0
1.983	45.77	317	3 2 -1
1.644	55.94	161	4 2 -4
1.508	61.47	125	1 3 1

[2]
For CuHgC4S4N4, a PBE-relaxed structure gives the simulated powder XRD pattern in this record (Cu Kα).
Peak positions follow from Bragg's law for the DFT cell and can differ from measured ones.

Crystal structure
abc: 9.021 7.677 15.253
angles: 90.00 90.00 90.00
Space group Pbcn (No. 60)
Unique sites:
Cu 0.000 0.000 0.000
Hg 0.000 0.449 0.250
C 0.140 0.201 0.655
C 0.182 0.403 0.433
S 0.012 0.344 0.408
S 0.216 0.307 0.736
N 0.092 0.116 0.598
N 0.197 0.054 0.952

Principal peaks in the range 5° ≤ 2θ ≤ 70°, low angle first:
d/Å	Position (°2θ)	I (rel.)	index
7.626	11.60	178	0 0 2
5.847	15.15	248	1 1 0
4.640	19.13	1000	1 1 2
4.511	19.68	209	2 0 0
3.813	23.33	157	0 0 4
2.923	30.58	135	2 2 0
2.871	31.15	168	2 2 1
2.628	34.11	190	3 1 2
2.331	38.62	226	1 1 6
2.320	38.82	204	2 2 4

[3]
For DyScInNi2, a PBE-relaxed structure gives the simulated powder XRD pattern in this record (Cu Kα).
Peak positions follow from Bragg's law for the DFT cell and can differ from measured ones.

Crystal structure
abc: 3.545 3.835 14.051
angles: 90.00 90.00 90.00
Space group Amm2 (No. 38)
Unique sites:
Dy 0.000 0.000 0.000
Sc 0.000 0.000 0.278
In 0.500 0.000 0.644
Ni 0.500 0.000 0.439
Ni 0.500 0.000 0.834

Principal peaks in the range 5° ≤ 2θ ≤ 70°, low angle first:
d/Å	Position (°2θ)	I (rel.)	index
7.026	12.60	326	0 0 2
2.967	30.12	322	0 1 3
2.560	35.06	1000	1 1 1
2.495	35.99	591	1 0 4
2.342	38.44	182	0 0 6
2.275	39.61	237	1 1 3
2.267	39.77	419	0 1 5
1.917	47.41	232	0 2 0
1.910	47.62	199	1 1 5
1.521	60.92	334	1 2 4

[4]
For MgAgB4, a PBE-relaxed structure gives the simulated powder XRD pattern in this record (Cu Kα).
Peak positions follow from Bragg's law for the DFT cell and can differ from measured ones.

Crystal structure
abc: 3.062 5.298 7.407
angles: 90.00 90.00 90.00
Space group Immm (No. 71)
Unique sites:
Mg 0.000 0.000 0.000
Ag 0.000 0.000 0.500
B 0.000 0.332 0.258

Principal peaks in the range 5° ≤ 2θ ≤ 70°, low angle first:
d/Å	Position (°2θ)	I (rel.)	index
4.309	20.61	667	0 1 1
3.703	24.03	325	0 0 2
2.829	31.62	246	1 0 1
2.650	33.82	585	1 1 0
2.238	40.30	126	0 1 3
2.155	41.92	1000	0 2 2
1.934	46.99	149	1 2 1
1.530	60.51	186	2 0 0
1.518	61.05	207	1 1 4
1.414	66.07	128	2 0 2

[5]
For Tl2Ga2Mo, a PBE-relaxed structure gives the simulated powder XRD pattern in this record (Cu Kα).
Peak positions follow from Bragg's law for the DFT cell and can differ from measured ones.

Crystal structure
abc: 4.6446 4.6446 11.2702
angles: 90.00 90.00 120.00
Space group P6_3/mmc (No. 194)
Unique sites:
Tl 0.3333 0.6667 0.1088
Ga 0.0000 0.0000 0.0000
Ga 0.3333 0.6667 0.7500
Mo 0.0000 0.0000 0.2500

Principal peaks in the range 5° ≤ 2θ ≤ 70°, low angle first:
d/Å	Position (°2θ)	I (rel.)	index
3.788	23.48	392	1 0 1
2.746	32.62	1000	1 0 3
2.322	38.78	951	1 1 0
2.308	39.03	455	1 0 4
1.966	46.17	70	1 0 5
1.773	51.54	279	2 0 3
1.637	56.19	157	2 0 4
1.495	62.10	95	1 0 7
1.460	63.72	114	1 1 6
1.409	66.33	305	0 0 8

[6]
For Lu4Cu3Mo2N3, a PBE-relaxed structure gives the simulated powder XRD pattern in this record (Cu Kα).
Peak positions follow from Bragg's law for the DFT cell and can differ from measured ones.

Crystal structure
abc: 9.782 5.682 13.623
angles: 90.00 103.99 90.00
Space group C2/c (No. 15)
Unique sites:
Lu 0.118 0.080 0.107
Lu 0.212 0.091 0.393
Cu 0.000 0.163 0.750
Cu 0.124 0.467 0.249
Mo 0.062 0.414 0.932
N 0.084 0.245 0.500
N 0.250 0.250 0.000

Principal peaks in the range 5° ≤ 2θ ≤ 70°, low angle first:
d/Å	Position (°2θ)	I (rel.)	index
3.305	26.98	133	0 0 4
2.841	31.49	131	0 2 0
2.828	31.64	277	3 1 -1
2.778	32.23	119	0 2 1
2.766	32.37	205	3 1 0
2.385	37.72	1000	3 1 -4
2.378	37.84	495	3 1 2
2.203	40.96	170	0 0 6
1.638	56.16	214	3 3 -1
1.630	56.44	106	6 0 -2

[7]
For ZrCuIr2, a PBE-relaxed structure gives the simulated powder XRD pattern in this record (Cu Kα).
Peak positions follow from Bragg's law for the DFT cell and can differ from measured ones.

Crystal structure
abc: 6.332 6.332 6.332
angles: 90.00 90.00 90.00
Space group F-43m (No. 216)
Unique sites:
Zr 0.000 0.000 0.000
Cu 0.250 0.250 0.250
Ir 0.000 0.000 0.500
Ir 0.250 0.250 0.750

Principal peaks in the range 5° ≤ 2θ ≤ 70°, low angle first:
d/Å	Position (°2θ)	I (rel.)	index
3.656	24.35	193	1 1 1
2.239	40.29	1000	2 2 0
1.909	47.63	104	3 1 1
1.583	58.29	169	4 0 0
1.453	64.11	45	3 3 1

[8]
For NdCO3F, a PBE-relaxed structure gives the simulated powder XRD pattern in this record (Cu Kα).
Peak positions follow from Bragg's law for the DFT cell and can differ from measured ones.

Crystal structure
abc: 6.9724 6.9724 9.6719
angles: 90.00 90.00 120.00
Space group P-62c (No. 190)
Unique sites:
Nd 0.0000 0.3412 0.0000
C 0.0287 0.7066 0.2500
O 0.0621 0.6754 0.6340
O 0.1062 0.3174 0.2500
F 0.0000 0.0000 0.0000
F 0.3333 0.6667 0.0562

Principal peaks in the range 5° ≤ 2θ ≤ 70°, low angle first:
d/Å	Position (°2θ)	I (rel.)	index
4.836	18.35	551	0 0 2
3.486	25.55	709	1 1 0
2.828	31.64	1000	1 1 2
2.418	37.18	127	0 0 4
2.013	45.04	361	3 0 0
1.987	45.66	490	1 1 4
1.858	49.02	354	3 0 2
1.640	56.08	219	2 2 2
1.547	59.78	172	3 0 4
1.463	63.59	136	1 1 6

[9]
For TbGdAl2Ir4, a PBE-relaxed structure gives the simulated powder XRD pattern in this record (Cu Kα).
Peak positions follow from Bragg's law for the DFT cell and can differ from measured ones.

Crystal structure
abc: 4.3052 4.3052 9.2181
angles: 90.00 90.00 120.00
Space group P-6m2 (No. 187)
Unique sites:
Tb 0.0000 0.0000 0.0000
Gd 0.6667 0.3333 0.5000
Al 0.3333 0.6667 0.2499
Ir 0.0000 0.0000 0.3316
Ir 0.6667 0.3333 0.1680

Principal peaks in the range 5° ≤ 2θ ≤ 70°, low angle first:
d/Å	Position (°2θ)	I (rel.)	index
4.609	19.26	19	0 0 2
3.728	23.87	440	1 0 0
2.371	37.95	1000	1 0 3
2.153	41.97	557	1 1 0
1.950	46.57	11	1 1 2
1.864	48.85	66	2 0 0
1.594	57.85	297	2 0 3
1.536	60.24	53	0 0 6
1.420	65.74	81	1 0 6
1.409	66.33	54	2 1 0

[10]
For SrHgS2, a PBE-relaxed structure gives the simulated powder XRD pattern in this record (Cu Kα).
Peak positions follow from Bragg's law for the DFT cell and can differ from measured ones.

Crystal structure
abc: 6.804 7.593 4.457
angles: 90.00 90.00 90.00
Space group Pnnm (No. 58)
Unique sites:
Sr 0.000 0.000 0.000
Hg 0.000 0.500 0.000
S 0.222 0.187 0.500

Principal peaks in the range 5° ≤ 2θ ≤ 70°, low angle first:
d/Å	Position (°2θ)	I (rel.)	index
5.067	17.50	289	1 1 0
3.843	23.14	267	0 1 1
3.796	23.43	391	0 2 0
3.728	23.87	1000	1 0 1
3.402	26.19	260	2 0 0
2.660	33.69	971	1 2 1
2.534	35.43	531	2 2 0
2.021	44.84	257	3 0 1
1.691	54.23	250	1 4 1
1.673	54.87	299	2 2 2